Starting from a crystal structure in Alexandria, relaxed with GGA+U, the powder X-ray diffraction pattern of Fe4O3F5 was calculated for Cu Kα X-rays.
Intensities are scaled so that the largest is 100.

Top 6 peaks for 2θ = 5–70°, low angle first:
3.339 Å, rel. 100.0; 2.630 Å, rel. 26.5; 1.771 Å, rel. 15.0; 1.750 Å, rel. 15.2; 1.743 Å, rel. 15.5; 1.670 Å, rel. 17.1

Cell and atoms:
Cell: 5.6362 4.7225 10.6891 Å, 90.00 96.87 90.00°
Element x y z (fractional)
Fe1 0.0000 0.1957 0.0000
Fe2 0.0000 0.8043 0.5000
Fe3 0.2602 0.2676 0.7326
Fe4 0.2602 0.7324 0.2326
Fe5 0.5134 0.2739 0.4698
Fe6 0.5134 0.7261 0.9698
Fe7 0.7603 0.2281 0.2464
Fe8 0.7603 0.7719 0.7464
O1 0.0297 0.0357 0.1660
O2 0.0297 0.9643 0.6660
O3 0.4857 0.4513 0.2919
O4 0.4857 0.5487 0.7919
O5 0.7847 0.0435 0.4053
O6 0.7847 0.9565 0.9053
F1 0.2153 0.4580 0.5558
F2 0.2153 0.5420 0.0558
F3 0.2809 0.0686 0.9107
F4 0.2809 0.9314 0.4107
F5 0.5201 0.0575 0.6520
F6 0.5201 0.9425 0.1520
F7 0.7400 0.4328 0.0675
F8 0.7400 0.5672 0.5675
F9 0.9932 0.4539 0.8162
F10 0.9932 0.5461 0.3162